# 1
Theoretical X-ray diffraction stick pattern of Be4B for Cu Kα, from the GGA-PBE geometry in the Materials Project.

Largest 6 diffraction maxima, sorted by position, 5 to 70 degrees two-theta:
3.020 Å, 29.58 deg, I = 55
2.421 Å, 37.14 deg, I = 12
1.673 Å, 54.87 deg, I = 59
1.663 Å, 55.24 deg, I = 100
1.553 Å, 59.53 deg, I = 8
1.464 Å, 63.57 deg, I = 7

Crystal structure
```
Be4B
1.0
3.3466 0.0000 0.0000
0.0000 3.3466 0.0000
0.0000 0.0000 7.0115
Be B
8 2
Direct
0.2500 0.2500 0.0191
0.2500 0.7500 0.1955
0.2500 0.7500 0.5000
0.2500 0.7500 0.8045
0.7500 0.2500 0.1955
0.7500 0.2500 0.5000
0.7500 0.2500 0.8045
0.7500 0.7500 0.9809
0.2500 0.2500 0.3311
0.7500 0.7500 0.6689
```

# 2
Theoretical X-ray diffraction stick pattern of Ca3Eu for Cu Kα, from the GGA-PBE geometry in the Materials Project.

Largest 6 diffraction maxima, sorted by position, 5 to 70 degrees two-theta:
5.833 Å, 15.19 deg, I = 39
4.125 Å, 21.54 deg, I = 36
3.368 Å, 26.47 deg, I = 100
2.917 Å, 30.65 deg, I = 51
2.062 Å, 43.90 deg, I = 37
1.759 Å, 52.00 deg, I = 44

Crystal structure
```
Ca3Eu
1.0
5.8331 0.0000 0.0000
0.0000 5.8331 0.0000
0.0000 0.0000 5.8331
Ca Eu
3 1
Direct
0.0000 0.0000 0.5000
0.0000 0.5000 0.0000
0.5000 0.0000 0.0000
0.5000 0.5000 0.5000
```

# 3
Theoretical X-ray diffraction stick pattern of Ca2Mg for Cu Kα, from the GGA-PBE geometry in the Materials Project.

Largest 6 diffraction maxima, sorted by position, 5 to 70 degrees two-theta:
3.032 Å, 29.46 deg, I = 48
3.013 Å, 29.65 deg, I = 57
2.914 Å, 30.68 deg, I = 100
2.783 Å, 32.16 deg, I = 95
1.750 Å, 52.28 deg, I = 18
1.665 Å, 55.16 deg, I = 16

Crystal structure
```
Ca2Mg
1.0
7.0590 -1.9074 0.0000
7.0590 1.9074 0.0000
-2.2971 0.0000 7.8087
Ca Mg
4 2
Direct
0.1385 0.1385 0.0546
0.1594 0.1594 0.5974
0.8406 0.8406 0.4026
0.8615 0.8615 0.9454
0.4865 0.4865 0.7205
0.5135 0.5135 0.2795
```